For Ho4GaPb2, DFT lattice parameters and positions (GGA-PBE) gives the computed X-ray diffraction stick pattern in this record (Cu Kα X-rays).

Structure:
```
14
Lattice="5.6738 0.0000 0.0000 0.0000 6.4762 0.0000 -1.6273 0.0000 10.4153" Properties=species:S:1:pos:R:3 pbc="T T T"
Ho 0.5977 1.6191 1.1886
Ho 0.6770 4.8572 4.5559
Ho 0.5746 0.0529 7.6556
Ho 0.5746 3.1852 7.6556
Ho 3.4719 3.2910 2.7597
Ho 3.4719 6.4233 2.7597
Ho 3.3695 1.6191 5.8594
Ho 3.4489 4.8572 9.2267
Ga 0.1594 4.8572 1.7750
Ga 3.8872 1.6191 8.6403
Pb 0.5517 1.6191 4.4524
Pb 2.2794 4.8572 0.0526
Pb 1.7671 1.6191 10.3627
Pb 3.4948 4.8572 5.9629
```

Most intense lines, 2θ = 15–90°, in order of rising 2θ:
- 27.5°, 3.238 Å, rel. 22
- 31.8°, 2.818 Å, rel. 46
- 32.4°, 2.765 Å, rel. 100
- 32.6°, 2.750 Å, rel. 69
- 33.7°, 2.657 Å, rel. 51
- 35.2°, 2.552 Å, rel. 21
- 35.7°, 2.514 Å, rel. 37
- 56.9°, 1.619 Å, rel. 23


For Ho3GaPb2, DFT lattice parameters and positions (GGA-PBE) gives the computed X-ray diffraction stick pattern in this record (Cu Kα X-rays).

Structure:
```
12
Lattice="8.1809 -3.1323 0.0000 8.1809 3.1323 0.0000 -1.2261 0.0000 6.2569" Properties=species:S:1:pos:R:3 pbc="T T T"
Ho 7.2613 2.3135 4.6927
Ho 5.0440 0.6979 2.5538
Ho 4.4310 -0.6979 5.6823
Ho 10.7047 0.6979 0.5746
Ho 10.0917 -0.6979 3.7030
Ho 7.8744 -2.3135 1.5642
Ga 7.8744 0.7422 1.5642
Ga 7.2613 -0.7422 4.6927
Pb 2.6273 0.6871 0.4285
Pb 2.0142 -0.6871 3.5569
Pb 13.1215 0.6871 2.6999
Pb 12.5084 -0.6871 5.8284
```

Most intense lines, 2θ = 15–90°, in order of rising 2θ:
- 32.0°, 2.801 Å, rel. 39
- 32.7°, 2.739 Å, rel. 100
- 33.0°, 2.718 Å, rel. 25
- 33.5°, 2.676 Å, rel. 51
- 34.8°, 2.576 Å, rel. 37
- 37.5°, 2.396 Å, rel. 24
- 44.8°, 2.024 Å, rel. 19
- 69.1°, 1.360 Å, rel. 24